[1]
Diffraction record for Rb2PdSeF6. The X-ray powder pattern is simulated, not measured: it uses the GGA-PBE geometry in Alexandria and Cu Kα (weighted mean of Kα1 and Kα2).
Kinematic intensities with the Lorentz-polarization factor, no thermal factor.

Crystal structure
Cell lengths 6.1447, 6.1447, 9.9443 Å; angles 90.00, 90.00, 90.00 degrees
Space group I4/mmm (No. 139)
Symmetry-distinct sites (fractional):
Rb 0.0000 0.5000 0.2500
Pd 0.0000 0.0000 0.0000
Se 0.0000 0.0000 0.5000
F 0.0000 0.0000 0.2023
F 0.2327 0.2327 0.5000

Peak list (10 most intense, 2θ = 10–90°, in order of falling intensity)
index, 2θ/deg, Rel. int.
1 1 2, 27.3, 100
2 0 0, 29.1, 41
3 1 2, 50.4, 36
2 2 0, 41.6, 32
2 2 4, 56.2, 23
0 0 4, 36.1, 22
2 0 4, 47.0, 19
1 1 6, 59.7, 13
3 1 6, 75.4, 13
4 0 4, 72.3, 10


[2]
Diffraction record for SmU2PaN4. The X-ray powder pattern is simulated, not measured: it uses the GGA-PBE geometry in Alexandria and Cu Kα (weighted mean of Kα1 and Kα2).
Kinematic intensities with the Lorentz-polarization factor, no thermal factor.

Crystal structure
Cell lengths 6.0301, 3.4810, 6.0571 Å; angles 90.00, 109.56, 90.00 degrees
Space group P2/m (No. 10)
Symmetry-distinct sites (fractional):
Sm 0.0000 0.0000 0.0000
U 0.0000 0.5000 0.5000
U 0.5000 0.0000 0.5000
Pa 0.5000 0.5000 0.0000
N 0.2531 0.0000 0.7414
N 0.2654 0.5000 0.2688

Peak list (10 most intense, 2θ = 10–90°, in order of falling intensity)
index, 2θ/deg, Rel. int.
0 0 2, 31.4, 100
1 1 1, 36.5, 88
0 2 0, 52.6, 41
2 0 0, 31.5, 33
1 1 3, 62.4, 31
3 1 1, 62.6, 25
1 1 -3, 52.4, 21
4 0 2, 86.1, 16
2 2 -2, 65.6, 11
1 3 1, 88.9, 10